Theoretical powder diffractogram of MnNbH8O5F5 for copper Kα, from a crystal structure in the Materials Project, relaxed with GGA+U.
Lines closer than 0.1° are merged.

Most intense lines, 10 to 90 degrees two-theta, in order of rising 2θ:
2θ = 16.59°, I 56, (0 2 0)
2θ = 18.95°, I 100, (1 1 -1)
2θ = 24.29°, I 29, (0 0 2)
2θ = 24.63°, I 64, (1 1 1)
2θ = 30.39°, I 45, (1 3 -1)
2θ = 45.93°, I 28, (1 1 3)

Structural model:
a b c (Å): 5.7279 10.6891 7.7048
angles (deg): 90.00 108.01 90.00
Space group P2_1 (No. 4)
Symmetry-distinct sites (fractional):
Mn 0.0008 0.0000 0.2516 (multiplicity 2)
Nb 0.4801 0.5025 0.2292 (multiplicity 2)
H 0.2078 0.6490 0.5316 (multiplicity 2)
H 0.2078 0.8499 0.0318 (multiplicity 2)
H 0.2176 0.7273 0.7058 (multiplicity 2)
H 0.2181 0.7721 0.2068 (multiplicity 2)
H 0.2418 0.2783 0.7141 (multiplicity 2)
H 0.2426 0.2207 0.2151 (multiplicity 2)
H 0.2463 0.1362 0.0488 (multiplicity 2)
H 0.2474 0.3632 0.5488 (multiplicity 2)
O 0.1243 0.6615 0.6241 (multiplicity 2)
O 0.1248 0.8377 0.1248 (multiplicity 2)
O 0.2479 0.3659 0.6764 (multiplicity 2)
O 0.2493 0.1332 0.1770 (multiplicity 2)
O 0.2656 0.5330 0.0110 (multiplicity 2)
F 0.2651 0.1178 0.8073 (multiplicity 2)
F 0.2661 0.9654 0.5119 (multiplicity 2)
F 0.2699 0.3813 0.3097 (multiplicity 2)
F 0.3599 0.8578 0.8536 (multiplicity 2)
F 0.3633 0.6409 0.3554 (multiplicity 2)